For Rb2TaCuF6, a crystal structure in the Materials Project, relaxed with PBE gives the computed X-ray powder pattern in this record (copper Kα).
Kinematic intensities with the Lorentz-polarization factor, no thermal factor.

Most intense lines, 10° ≤ 2θ ≤ 80°, by angle:
two_theta  I/Imax
17.5  21
20.2  11
28.7  100
33.8  10
41.1  37
50.9  41
59.5  23
67.4  18

Structural model:
abc: 6.2119 6.2119 6.2119
angles: 60.00 60.00 60.00
Sites, in units of the cell vectors:
Rb 0.2500 0.2500 0.2500
Rb 0.7500 0.7500 0.7500
Ta 0.0000 0.0000 0.0000
Cu 0.5000 0.5000 0.5000
F 0.2383 0.2383 0.7617
F 0.2383 0.7617 0.2383
F 0.2383 0.7617 0.7617
F 0.7617 0.2383 0.2383
F 0.7617 0.2383 0.7617
F 0.7617 0.7617 0.2383

---

For Rb2TlCuF6, a crystal structure in the Materials Project, relaxed with PBE gives the computed X-ray powder pattern in this record (copper Kα).
Kinematic intensities with the Lorentz-polarization factor, no thermal factor.

Most intense lines, 10° ≤ 2θ ≤ 80°, by angle:
two_theta  I/Imax
17.4  18
20.1  13
28.6  100
33.7  14
40.9  36
50.6  41
59.2  22
67.0  19

Structural model:
abc: 6.2440 6.2440 6.2440
angles: 60.00 60.00 60.00
Sites, in units of the cell vectors:
Rb 0.2500 0.2500 0.2500
Rb 0.7500 0.7500 0.7500
Tl 0.0000 0.0000 0.0000
Cu 0.5000 0.5000 0.5000
F 0.2656 0.2656 0.7344
F 0.2656 0.7344 0.2656
F 0.2656 0.7344 0.7344
F 0.7344 0.2656 0.2656
F 0.7344 0.2656 0.7344
F 0.7344 0.7344 0.2656

---

For SrCuSF, a crystal structure in the Materials Project, relaxed with PBE gives the computed X-ray powder pattern in this record (copper Kα).
Kinematic intensities with the Lorentz-polarization factor, no thermal factor.

Most intense lines, 10° ≤ 2θ ≤ 80°, by angle:
two_theta  I/Imax
24.7  32
30.5  89
33.6  35
38.2  100
45.7  56
47.7  25
53.3  33
56.0  30

Structural model:
abc: 3.9678 3.9678 8.7066
angles: 90.00 90.00 90.00
Sites, in units of the cell vectors:
Sr 0.2500 0.2500 0.1705
Sr 0.7500 0.7500 0.8295
Cu 0.2500 0.7500 0.5000
Cu 0.7500 0.2500 0.5000
S 0.2500 0.2500 0.6603
S 0.7500 0.7500 0.3397
F 0.2500 0.7500 0.0000
F 0.7500 0.2500 0.0000

---

For CuSb2Xe4F20, a crystal structure in the Materials Project, relaxed with PBE gives the computed X-ray powder pattern in this record (copper Kα).
Kinematic intensities with the Lorentz-polarization factor, no thermal factor.

Most intense lines, 10° ≤ 2θ ≤ 80°, by angle:
two_theta  I/Imax
20.4  100
22.2  39
23.7  67
24.8  17
25.8  30
35.4  21
41.2  25
45.6  20

Structural model:
abc: 9.0701 9.0701 9.0701
angles: 102.66 102.66 124.17
Sites, in units of the cell vectors:
Cu 0.0000 0.0000 0.0000
Sb 0.2500 0.7500 0.5000
Sb 0.5000 0.5000 0.0000
Xe 0.0134 0.5943 0.8843
Xe 0.4057 0.2900 0.4190
Xe 0.7100 0.1291 0.1157
Xe 0.8709 0.9866 0.5810
F 0.0228 0.5228 0.5000
F 0.0459 0.8459 0.8659
F 0.1146 0.6379 0.2614
F 0.1468 0.8854 0.5233
F 0.1541 0.0200 0.2000
F 0.2708 0.2708 0.0000
F 0.3446 0.4211 0.7738
F 0.3621 0.6236 0.4767
F 0.3764 0.8532 0.7386
F 0.4292 0.6554 0.0764
F 0.4612 0.0801 0.1091
F 0.4772 0.9772 0.5000
F 0.5789 0.3528 0.9236
F 0.6472 0.5708 0.2262
F 0.6480 0.5388 0.6189
F 0.7292 0.7292 0.0000
F 0.8200 0.9541 0.8000
F 0.9199 0.0291 0.3811
F 0.9709 0.3520 0.8909
F 0.9800 0.1800 0.1341

---

For CuSb2Xe2F16, a crystal structure in the Materials Project, relaxed with PBE gives the computed X-ray powder pattern in this record (copper Kα).
Kinematic intensities with the Lorentz-polarization factor, no thermal factor.

Most intense lines, 10° ≤ 2θ ≤ 80°, by angle:
two_theta  I/Imax
19.0  37
19.7  33
20.1  31
21.7  100
22.0  100
25.5  72
31.7  38
39.3  30

Structural model:
abc: 5.6433 15.0585 9.3602
angles: 90.00 91.15 90.00
Sites, in units of the cell vectors:
Cu 0.0000 0.0000 0.0000
Cu 0.0000 0.5000 0.5000
Sb 0.4892 0.0814 0.7508
Sb 0.4892 0.4186 0.2508
Sb 0.5108 0.5814 0.7492
Sb 0.5108 0.9186 0.2492
Xe 0.0044 0.1679 0.3363
Xe 0.0044 0.3321 0.8363
Xe 0.9956 0.6679 0.1637
Xe 0.9956 0.8321 0.6637
F 0.0274 0.2475 0.0031
F 0.0274 0.2525 0.5031
F 0.0327 0.5811 0.3475
F 0.0327 0.9189 0.8475
F 0.2011 0.0796 0.6409
F 0.2011 0.4204 0.1409
F 0.2245 0.5826 0.6253
F 0.2245 0.9174 0.1253
F 0.3068 0.0674 0.9267
F 0.3068 0.4326 0.4267
F 0.3243 0.5974 0.9150
F 0.3243 0.9026 0.4150
F 0.4734 0.2072 0.7800
F 0.4734 0.2928 0.2800
F 0.4815 0.0446 0.2598
F 0.4815 0.4554 0.7598
F 0.5185 0.5446 0.2402
F 0.5185 0.9554 0.7402
F 0.5266 0.7072 0.7200
F 0.5266 0.7928 0.2200
F 0.6757 0.0974 0.5850
F 0.6757 0.4026 0.0850
F 0.6932 0.5674 0.5733
F 0.6932 0.9326 0.0733
F 0.7755 0.0826 0.8747
F 0.7755 0.4174 0.3747
F 0.7989 0.5796 0.8591
F 0.7989 0.9204 0.3591
F 0.9673 0.0811 0.1525
F 0.9673 0.4189 0.6525
F 0.9726 0.7475 0.4969
F 0.9726 0.7525 0.9969

---

For CuSb2Xe6F24, a crystal structure in the Materials Project, relaxed with PBE gives the computed X-ray powder pattern in this record (copper Kα).
Kinematic intensities with the Lorentz-polarization factor, no thermal factor.

Most intense lines, 10° ≤ 2θ ≤ 80°, by angle:
two_theta  I/Imax
20.8  19
21.4  97
23.1  34
25.2  100
34.8  21
37.1  36
41.2  17
42.2  26

Structural model:
abc: 9.7213 9.7213 9.7213
angles: 63.98 63.98 63.98
Sites, in units of the cell vectors:
Cu 0.0000 0.0000 0.0000
Sb 0.2527 0.2527 0.2527
Sb 0.7473 0.7473 0.7473
Xe 0.2211 0.2964 0.7355
Xe 0.2645 0.7789 0.7036
Xe 0.2964 0.7355 0.2211
Xe 0.7036 0.2645 0.7789
Xe 0.7355 0.2211 0.2964
Xe 0.7789 0.7036 0.2645
F 0.0564 0.8843 0.2073
F 0.1004 0.1341 0.3797
F 0.1157 0.7927 0.9436
F 0.1283 0.4093 0.3674
F 0.1341 0.3797 0.1004
F 0.2073 0.0564 0.8843
F 0.2378 0.5193 0.5942
F 0.3674 0.1283 0.4093
F 0.3797 0.1004 0.1341
F 0.4058 0.7622 0.4807
F 0.4093 0.3674 0.1283
F 0.4807 0.4058 0.7622
F 0.5193 0.5942 0.2378
F 0.5907 0.6326 0.8717
F 0.5942 0.2378 0.5193
F 0.6203 0.8996 0.8659
F 0.6326 0.8717 0.5907
F 0.7622 0.4807 0.4058
F 0.7927 0.9436 0.1157
F 0.8659 0.6203 0.8996
F 0.8717 0.5907 0.6326
F 0.8843 0.2073 0.0564
F 0.8996 0.8659 0.6203
F 0.9436 0.1157 0.7927

---

For SmCuSeF, a crystal structure in the Materials Project, relaxed with PBE gives the computed X-ray powder pattern in this record (copper Kα).
Kinematic intensities with the Lorentz-polarization factor, no thermal factor.

Most intense lines, 10° ≤ 2θ ≤ 80°, by angle:
two_theta  I/Imax
30.2  95
33.1  25
34.5  20
38.5  100
45.5  51
47.5  46
57.4  31
67.9  30

Structural model:
abc: 3.8250 3.8250 9.3512
angles: 90.00 90.00 90.00
Sites, in units of the cell vectors:
Sm 0.2500 0.2500 0.1745
Sm 0.7500 0.7500 0.8255
Cu 0.2500 0.7500 0.5000
Cu 0.7500 0.2500 0.5000
Se 0.2500 0.2500 0.6985
Se 0.7500 0.7500 0.3015
F 0.2500 0.7500 0.0000
F 0.7500 0.2500 0.0000